# 1
The following is a simulated powder diffraction line list of Dy5Tl4Sn. It was derived from DFT lattice parameters and positions (GGA-PBE), using CuKα.
Intensities are scaled so that the largest is 100.

Top 9 peaks for 2θ from 5° to 70°, by angle:
| two_theta | intensity |
| --- | --- |
| 8.60 | 1 |
| 26.03 | 1 |
| 32.92 | 100 |
| 34.99 | 43 |
| 44.01 | 11 |
| 50.33 | 16 |
| 57.42 | 21 |
| 61.46 | 34 |
| 69.04 | 12 |

a = 3.626 Å, b = 3.626 Å, c = 20.575 Å
α = 90.00°, β = 90.00°, γ = 90.00°
Fractional coordinates of all 10 atoms:
Dy 0.000 0.000 0.000
Dy 0.000 0.000 0.200
Dy 0.000 0.000 0.402
Dy 0.000 0.000 0.598
Dy 0.000 0.000 0.800
Tl 0.500 0.500 0.100
Tl 0.500 0.500 0.299
Tl 0.500 0.500 0.701
Tl 0.500 0.500 0.900
Sn 0.500 0.500 0.500

# 2
The following is a simulated powder diffraction line list of Dy7Tl4Sn. It was derived from DFT lattice parameters and positions (GGA-PBE), using CuKα.
Intensities are scaled so that the largest is 100.

Top 10 peaks for 2θ from 5° to 70°, by angle:
| two_theta | intensity |
| --- | --- |
| 27.36 | 28 |
| 31.02 | 88 |
| 33.42 | 60 |
| 34.33 | 100 |
| 35.58 | 83 |
| 46.24 | 48 |
| 57.33 | 23 |
| 58.19 | 20 |
| 63.46 | 21 |
| 63.67 | 21 |

a = 7.738 Å, b = 7.738 Å, c = 11.105 Å
α = 123.91°, β = 123.91°, γ = 43.74°
Fractional coordinates of all 12 atoms:
Dy 0.000 0.000 0.000
Dy 0.159 0.159 0.588
Dy 0.288 0.288 0.124
Dy 0.430 0.430 0.680
Dy 0.570 0.570 0.320
Dy 0.712 0.712 0.876
Dy 0.841 0.841 0.412
Tl 0.066 0.066 0.771
Tl 0.212 0.212 0.341
Tl 0.788 0.788 0.659
Tl 0.934 0.934 0.229
Sn 0.500 0.500 0.000

# 3
The following is a simulated powder diffraction line list of DyTm3Sn3. It was derived from DFT lattice parameters and positions (GGA-PBE), using CuKα.
Intensities are scaled so that the largest is 100.

Top 10 peaks for 2θ from 5° to 70°, by angle:
| two_theta | intensity |
| --- | --- |
| 29.87 | 65 |
| 34.62 | 100 |
| 38.87 | 17 |
| 46.34 | 10 |
| 49.77 | 10 |
| 53.00 | 24 |
| 53.08 | 9 |
| 59.09 | 11 |
| 62.01 | 14 |
| 64.82 | 8 |

a = 6.350 Å, b = 6.350 Å, c = 6.350 Å
α = 109.53°, β = 109.53°, γ = 109.53°
Fractional coordinates of all 7 atoms:
Dy 0.000 0.000 0.000
Tm 0.402 0.402 0.807
Tm 0.402 0.807 0.402
Tm 0.807 0.402 0.402
Sn 0.404 0.902 0.902
Sn 0.902 0.404 0.902
Sn 0.902 0.902 0.404

# 4
The following is a simulated powder diffraction line list of Dy2Tm8Sn. It was derived from DFT lattice parameters and positions (GGA-PBE), using CuKα.
Intensities are scaled so that the largest is 100.

Top 10 peaks for 2θ from 5° to 70°, by angle:
| two_theta | intensity |
| --- | --- |
| 30.37 | 16 |
| 31.01 | 11 |
| 32.86 | 100 |
| 38.55 | 5 |
| 45.33 | 11 |
| 48.96 | 7 |
| 58.63 | 17 |
| 60.21 | 8 |
| 61.07 | 11 |
| 68.82 | 5 |

a = 9.949 Å, b = 9.949 Å, c = 6.321 Å
α = 94.90°, β = 94.90°, γ = 31.83°
Fractional coordinates of all 11 atoms:
Dy 0.244 0.244 0.335
Dy 0.756 0.756 0.665
Tm 0.045 0.045 0.267
Tm 0.154 0.154 0.804
Tm 0.338 0.338 0.876
Tm 0.422 0.422 0.402
Tm 0.578 0.578 0.598
Tm 0.662 0.662 0.124
Tm 0.846 0.846 0.196
Tm 0.955 0.955 0.733
Sn 0.500 0.500 0.000

# 5
The following is a simulated powder diffraction line list of DyTm3Sn. It was derived from DFT lattice parameters and positions (GGA-PBE), using CuKα.
Intensities are scaled so that the largest is 100.

Top 10 peaks for 2θ from 5° to 70°, by angle:
| two_theta | intensity |
| --- | --- |
| 27.25 | 32 |
| 29.18 | 38 |
| 30.67 | 24 |
| 33.06 | 100 |
| 34.04 | 51 |
| 34.99 | 22 |
| 35.31 | 20 |
| 37.78 | 37 |
| 54.47 | 20 |
| 56.06 | 23 |

a = 8.575 Å, b = 8.575 Å, c = 5.830 Å
α = 90.00°, β = 90.00°, γ = 134.45°
Fractional coordinates of all 10 atoms:
Dy 0.056 0.944 0.750
Dy 0.944 0.056 0.250
Tm 0.087 0.411 0.750
Tm 0.411 0.087 0.250
Tm 0.500 0.500 0.000
Tm 0.500 0.500 0.500
Tm 0.589 0.913 0.750
Tm 0.913 0.589 0.250
Sn 0.328 0.672 0.250
Sn 0.672 0.328 0.750

# 6
The following is a simulated powder diffraction line list of Dy6Tm8Sn. It was derived from DFT lattice parameters and positions (GGA-PBE), using CuKα.
Intensities are scaled so that the largest is 100.

Top 10 peaks for 2θ from 5° to 70°, by angle:
| two_theta | intensity |
| --- | --- |
| 19.58 | 14 |
| 26.33 | 29 |
| 33.02 | 48 |
| 33.31 | 100 |
| 34.26 | 71 |
| 48.53 | 18 |
| 52.62 | 18 |
| 58.92 | 12 |
| 60.74 | 13 |
| 63.11 | 11 |

a = 9.067 Å, b = 9.067 Å, c = 6.682 Å
α = 90.00°, β = 90.00°, γ = 120.00°
Fractional coordinates of all 15 atoms:
Dy 0.076 0.684 0.397
Dy 0.316 0.392 0.397
Dy 0.392 0.076 0.603
Dy 0.608 0.924 0.397
Dy 0.684 0.608 0.603
Dy 0.924 0.316 0.603
Tm 0.018 0.333 0.109
Tm 0.315 0.982 0.109
Tm 0.333 0.315 0.891
Tm 0.333 0.667 0.804
Tm 0.667 0.333 0.196
Tm 0.667 0.685 0.109
Tm 0.685 0.018 0.891
Tm 0.982 0.667 0.891
Sn 0.000 0.000 0.500

# 7
The following is a simulated powder diffraction line list of DyYSn6. It was derived from DFT lattice parameters and positions (GGA-PBE), using CuKα.
Intensities are scaled so that the largest is 100.

Top 10 peaks for 2θ from 5° to 70°, by angle:
| two_theta | intensity |
| --- | --- |
| 9.69 | 2 |
| 20.92 | 1 |
| 32.90 | 100 |
| 37.51 | 35 |
| 39.48 | 15 |
| 54.08 | 12 |
| 55.59 | 23 |
| 64.77 | 29 |
| 67.47 | 13 |
| 69.00 | 12 |

a = 4.796 Å, b = 4.796 Å, c = 9.129 Å
α = 90.00°, β = 90.00°, γ = 90.00°
Fractional coordinates of all 8 atoms:
Dy 0.000 0.000 0.000
Y 0.000 0.000 0.500
Sn 0.000 0.500 0.249
Sn 0.000 0.500 0.751
Sn 0.500 0.000 0.249
Sn 0.500 0.000 0.751
Sn 0.500 0.500 0.000
Sn 0.500 0.500 0.500

# 8
The following is a simulated powder diffraction line list of DyY2Sn2. It was derived from DFT lattice parameters and positions (GGA-PBE), using CuKα.
Intensities are scaled so that the largest is 100.

Top 10 peaks for 2θ from 5° to 70°, by angle:
| two_theta | intensity |
| --- | --- |
| 27.47 | 37 |
| 30.53 | 100 |
| 33.39 | 35 |
| 33.93 | 14 |
| 36.33 | 60 |
| 41.53 | 39 |
| 46.17 | 18 |
| 61.85 | 13 |
| 63.55 | 13 |
| 65.77 | 22 |

a = 9.417 Å, b = 9.417 Å, c = 6.494 Å
α = 90.00°, β = 90.00°, γ = 149.58°
Fractional coordinates of all 10 atoms:
Dy 0.106 0.894 0.500
Dy 0.894 0.106 0.000
Y 0.311 0.689 0.502
Y 0.500 0.500 0.250
Y 0.500 0.500 0.750
Y 0.689 0.311 0.002
Sn 0.074 0.926 0.000
Sn 0.303 0.697 0.002
Sn 0.697 0.303 0.502
Sn 0.926 0.074 0.500

# 9
The following is a simulated powder diffraction line list of Dy5Zn2Sn. It was derived from DFT lattice parameters and positions (GGA-PBE), using CuKα.
Intensities are scaled so that the largest is 100.

Top 10 peaks for 2θ from 5° to 70°, by angle:
| two_theta | intensity |
| --- | --- |
| 25.60 | 21 |
| 31.30 | 12 |
| 31.90 | 25 |
| 32.38 | 100 |
| 35.11 | 65 |
| 35.65 | 27 |
| 51.23 | 12 |
| 53.54 | 12 |
| 56.09 | 27 |
| 65.93 | 18 |

a = 8.610 Å, b = 8.610 Å, c = 8.610 Å
α = 124.01°, β = 124.01°, γ = 83.19°
Fractional coordinates of all 16 atoms:
Dy 0.000 0.000 0.000
Dy 0.010 0.510 0.811
Dy 0.199 0.010 0.500
Dy 0.301 0.801 0.811
Dy 0.490 0.301 0.500
Dy 0.500 0.500 0.000
Dy 0.510 0.699 0.500
Dy 0.699 0.199 0.189
Dy 0.801 0.990 0.500
Dy 0.990 0.490 0.189
Zn 0.135 0.365 0.500
Zn 0.365 0.865 0.229
Zn 0.635 0.135 0.771
Zn 0.865 0.635 0.500
Sn 0.250 0.250 0.000
Sn 0.750 0.750 0.000

# 10
The following is a simulated powder diffraction line list of Dy2ZnSn4. It was derived from DFT lattice parameters and positions (GGA-PBE), using CuKα.
Intensities are scaled so that the largest is 100.

Top 10 peaks for 2θ from 5° to 70°, by angle:
| two_theta | intensity |
| --- | --- |
| 28.39 | 9 |
| 29.54 | 20 |
| 30.09 | 27 |
| 34.72 | 100 |
| 35.91 | 10 |
| 40.59 | 43 |
| 50.99 | 18 |
| 58.10 | 10 |
| 58.75 | 27 |
| 67.12 | 8 |

a = 4.446 Å, b = 4.446 Å, c = 9.073 Å
α = 90.00°, β = 90.00°, γ = 90.00°
Fractional coordinates of all 7 atoms:
Dy 0.000 0.500 0.226
Dy 0.500 0.000 0.774
Zn 0.500 0.500 0.000
Sn 0.000 0.000 0.500
Sn 0.000 0.500 0.824
Sn 0.500 0.000 0.176
Sn 0.500 0.500 0.500

# 11
The following is a simulated powder diffraction line list of Dy5ZrSn4. It was derived from DFT lattice parameters and positions (GGA-PBE), using CuKα.
Intensities are scaled so that the largest is 100.

Top 10 peaks for 2θ from 5° to 70°, by angle:
| two_theta | intensity |
| --- | --- |
| 27.09 | 12 |
| 29.77 | 53 |
| 30.71 | 100 |
| 41.73 | 16 |
| 42.36 | 40 |
| 44.21 | 33 |
| 46.13 | 16 |
| 50.48 | 10 |
| 55.87 | 18 |
| 69.26 | 10 |

a = 9.608 Å, b = 9.608 Å, c = 8.674 Å
α = 106.41°, β = 106.41°, γ = 23.64°
Fractional coordinates of all 10 atoms:
Dy 0.000 0.000 0.000
Dy 0.328 0.328 0.127
Dy 0.332 0.332 0.688
Dy 0.668 0.668 0.312
Dy 0.672 0.672 0.873
Zr 0.000 0.000 0.500
Sn 0.164 0.164 0.590
Sn 0.498 0.498 0.257
Sn 0.502 0.502 0.743
Sn 0.836 0.836 0.410